1.
Theoretical powder diffraction line list
Compound: ThTl4Se4
Radiation: Cu Kα, 1.54184 Å
Structure: the GGA-PBE geometry in Alexandria

Atomic structure:
```
ThTl4Se4
1.0
7.3734 -2.1939 0.0000
7.3734 2.1939 0.0000
-5.4943 0.0000 9.3730
Th Tl Se
1 4 4
Direct
0.0000 0.0000 0.0000
0.1997 0.1997 0.7721
0.4130 0.4130 0.6001
0.5870 0.5870 0.3999
0.8003 0.8003 0.2279
0.1728 0.1728 0.2927
0.3985 0.3985 0.0674
0.6015 0.6015 0.9326
0.8272 0.8272 0.7073
```

Principal peaks in the range 2θ from 10° to 90°, in order of falling intensity:
28.5°, I = 100; 41.0°, I = 67; 28.8°, I = 47; 24.6°, I = 42; 24.9°, I = 40; 67.4°, I = 21

---

2.
Theoretical powder diffraction line list
Compound: ThUTl2Se6
Radiation: Cu Kα, 1.54184 Å
Structure: the GGA-PBE geometry in Alexandria

Atomic structure:
```
ThUTl2Se6
1.0
7.5617 0.0000 0.0000
0.0000 7.7550 0.0000
-7.5211 0.0000 10.8236
Th U Tl Se
2 2 4 12
Direct
0.0000 0.0000 0.0000
0.0000 0.5000 0.5000
0.5000 0.0000 0.5000
0.5000 0.5000 0.0000
0.2314 0.0611 0.7472
0.2314 0.4389 0.2472
0.7686 0.5611 0.7528
0.7686 0.9389 0.2528
0.1670 0.1956 0.4543
0.1670 0.3044 0.9543
0.2617 0.7135 0.4541
0.2617 0.7865 0.9541
0.3496 0.0144 0.2593
0.3496 0.4856 0.7593
0.6504 0.5144 0.2407
0.6504 0.9856 0.7407
0.7383 0.2135 0.0459
0.7383 0.2865 0.5459
0.8330 0.6956 0.0457
0.8330 0.8044 0.5457
```

Principal peaks in the range 2θ from 10° to 90°, in order of falling intensity:
23.2°, I = 100; 33.1°, I = 80; 41.1°, I = 32; 22.9°, I = 23; 23.5°, I = 23; 41.2°, I = 19

---

3.
Theoretical powder diffraction line list
Compound: Tm3Th5Se8
Radiation: Cu Kα, 1.54184 Å
Structure: the GGA-PBE geometry in Alexandria

Atomic structure:
```
Tm3Th5Se8
1.0
4.0223 2.3223 7.1476
-4.0223 2.3223 7.1476
0.0000 -4.6446 7.1476
Tm Th Se
3 5 8
Direct
0.0000 0.5000 0.5000
0.5000 0.0000 0.5000
0.5000 0.5000 0.0000
0.0000 0.0000 0.0000
0.0000 0.0000 0.5000
0.0000 0.5000 0.0000
0.5000 0.0000 0.0000
0.5000 0.5000 0.5000
0.2497 0.2497 0.7351
0.2497 0.7351 0.2497
0.2571 0.2571 0.2571
0.2649 0.7503 0.7503
0.7351 0.2497 0.2497
0.7429 0.7429 0.7429
0.7503 0.2649 0.7503
0.7503 0.7503 0.2649
```

Principal peaks in the range 2θ from 10° to 90°, in order of falling intensity:
30.6°, I = 100; 42.6°, I = 40; 45.1°, I = 35; 26.9°, I = 26; 55.5°, I = 19; 70.5°, I = 18

---

4.
Theoretical powder diffraction line list
Compound: TmTh4Se5
Radiation: Cu Kα, 1.54184 Å
Structure: the GGA-PBE geometry in Alexandria

Atomic structure:
```
TmTh4Se5
1.0
-4.6654 4.6654 2.9487
4.6654 -4.6654 2.9487
4.6654 4.6654 -2.9487
Tm Th Se
1 4 5
Direct
0.0000 0.0000 0.0000
0.1922 0.5935 0.7857
0.4065 0.1922 0.5987
0.5935 0.8078 0.4013
0.8078 0.4065 0.2143
0.1021 0.2850 0.3871
0.2850 0.8979 0.1829
0.5000 0.5000 0.0000
0.7150 0.1021 0.8171
0.8979 0.7150 0.6129
```

Principal peaks in the range 2θ from 10° to 90°, in order of falling intensity:
30.3°, I = 100; 43.4°, I = 75; 26.2°, I = 39; 71.5°, I = 33; 53.8°, I = 26; 79.6°, I = 25